This entry pairs a crystal structure of SrMnOF5 with its computed powder XRD pattern. Radiation: Cu Ka. Structure: the PBE+U geometry in Alexandria.
Intensities are scaled so that the largest is 1000.

Principal peaks in the range 2θ = 10–80°, sorted by position:
- 19.4°, d = 4.575 Å, I = 870, hkl 1 0 -1
- 19.7°, d = 4.517 Å, I = 607, hkl 0 1 1
- 22.4°, d = 3.961 Å, I = 654, hkl 1 1 -1
- 27.4°, d = 3.258 Å, I = 714, hkl 1 0 1
- 27.8°, d = 3.212 Å, I = 1000, hkl 0 2 1
- 28.5°, d = 3.134 Å, I = 831, hkl 1 2 0
- 35.3°, d = 2.545 Å, I = 267, hkl 2 1 -1
- 39.4°, d = 2.285 Å, I = 381, hkl 1 3 -1
- 41.1°, d = 2.197 Å, I = 296, hkl 2 1 -2
- 43.6°, d = 2.074 Å, I = 338, hkl 1 1 2
- 45.8°, d = 1.979 Å, I = 653, hkl 0 4 0
- 49.5°, d = 1.840 Å, I = 629, hkl 2 2 1

Cell and atoms:
```
SrMnOF5
1.0
5.4331 0.0000 0.0000
0.0000 7.9139 0.0000
-1.9086 0.0000 5.5008
Sr Mn O F
2 2 2 10
direct
0.0598 0.2500 0.3840
0.9402 0.7500 0.6160
0.5000 0.0000 0.0000
0.5000 0.5000 0.0000
0.3947 0.7500 0.4658
0.6053 0.2500 0.5342
0.1944 0.0415 0.7257
0.1944 0.4585 0.7257
0.3190 0.0598 0.2128
0.3190 0.4402 0.2128
0.3447 0.7500 0.9803
0.6553 0.2500 0.0197
0.6810 0.5598 0.7872
0.6810 0.9402 0.7872
0.8056 0.5415 0.2743
0.8056 0.9585 0.2743
```